Diffraction record for TlPdPb. The XRD peak list is simulated, not measured: it uses a structure optimized by DFT (PBE) and Cu Ka.
Intensities are scaled so that the largest is 1000.

Top 10 peaks for 2θ = 15–90°, in order of falling intensity:
- d 2.732, I = 1000
- d 2.178, I = 284
- d 2.245, I = 266
- d 1.661, I = 233
- d 2.529, I = 204
- d 1.423, I = 192
- d 1.608, I = 177
- d 2.960, I = 143
- d 1.250, I = 107
- d 1.488, I = 99

```
TlPdPb
1.0
-2.9596 3.4416 3.4462
2.9596 -3.4416 3.4462
2.9596 3.4416 -3.4462
Tl Pd Pb
2 2 2
Direct
0.1644 0.2500 0.4144
0.8356 0.7500 0.5856
0.6652 0.1652 0.5000
0.6652 0.6652 0.0000
0.1654 0.5766 0.0888
0.4878 0.0766 0.9112
```

Diffraction record for YTmPd2Pb. The XRD peak list is simulated, not measured: it uses a structure optimized by DFT (PBE) and Cu Ka.
Intensities are scaled so that the largest is 1000.

Top 10 peaks for 2θ = 15–90°, in order of falling intensity:
- d 2.698, I = 1000
- d 2.439, I = 506
- d 2.585, I = 494
- d 2.125, I = 282
- d 1.642, I = 271
- d 3.229, I = 246
- d 2.018, I = 214
- d 1.446, I = 198
- d 2.482, I = 186
- d 1.796, I = 168

```
YTmPd2Pb
1.0
3.5917 0.0000 0.0000
0.0000 2.1250 7.4460
0.0000 -2.1250 7.4460
Y Tm Pd Pb
1 1 2 1
Direct
0.0000 0.0000 0.0000
0.0000 0.2715 0.2715
0.5000 0.4399 0.4399
0.5000 0.8244 0.8244
0.5000 0.6343 0.6343
```

Diffraction record for Pm5Pb3. The XRD peak list is simulated, not measured: it uses a structure optimized by DFT (PBE) and Cu Ka.
Intensities are scaled so that the largest is 1000.

Top 10 peaks for 2θ = 15–90°, in order of falling intensity:
- d 2.785, I = 1000
- d 2.755, I = 712
- d 2.689, I = 392
- d 1.825, I = 294
- d 3.416, I = 250
- d 3.049, I = 229
- d 1.459, I = 223
- d 2.126, I = 192
- d 1.924, I = 146
- d 1.628, I = 128

```
Pm5Pb3
1.0
9.3156 0.0000 0.0000
-4.6578 8.0675 0.0000
0.0000 0.0000 6.8322
Pm Pb
10 6
Direct
0.0000 0.2384 0.2500
0.0000 0.7616 0.7500
0.2384 0.0000 0.2500
0.2384 0.2384 0.7500
0.3333 0.6667 0.0000
0.3333 0.6667 0.5000
0.6667 0.3333 0.0000
0.6667 0.3333 0.5000
0.7616 0.0000 0.7500
0.7616 0.7616 0.2500
0.0000 0.3944 0.7500
0.0000 0.6056 0.2500
0.3944 0.0000 0.7500
0.3944 0.3944 0.2500
0.6056 0.0000 0.2500
0.6056 0.6056 0.7500
```

Diffraction record for RbPr5Pb2. The XRD peak list is simulated, not measured: it uses a structure optimized by DFT (PBE) and Cu Ka.
Intensities are scaled so that the largest is 1000.

Top 10 peaks for 2θ = 15–90°, in order of falling intensity:
- d 3.025, I = 1000
- d 2.612, I = 431
- d 1.855, I = 316
- d 2.635, I = 261
- d 3.711, I = 248
- d 1.577, I = 199
- d 3.304, I = 151
- d 1.587, I = 151
- d 1.513, I = 136
- d 1.847, I = 130

```
RbPr5Pb2
1.0
7.3888 0.0000 0.0000
0.0000 7.3888 0.0000
0.0000 0.0000 5.2709
Rb Pr Pb
1 5 2
Direct
0.0000 0.0000 0.0000
0.0000 0.0000 0.5000
0.2840 0.2840 0.0000
0.2840 0.7160 0.0000
0.7160 0.2840 0.0000
0.7160 0.7160 0.0000
0.0000 0.5000 0.5000
0.5000 0.0000 0.5000
```

Diffraction record for Pr3Sn5Pb2. The XRD peak list is simulated, not measured: it uses a structure optimized by DFT (PBE) and Cu Ka.
Intensities are scaled so that the largest is 1000.

Top 10 peaks for 2θ = 15–90°, in order of falling intensity:
- d 2.798, I = 1000
- d 2.611, I = 174
- d 2.385, I = 171
- d 2.304, I = 155
- d 1.444, I = 138
- d 1.408, I = 127
- d 1.657, I = 114
- d 1.761, I = 110
- d 1.541, I = 106
- d 1.399, I = 105

```
Pr3Sn5Pb2
1.0
2.3039 -13.0542 0.0000
2.3039 13.0542 0.0000
0.0000 0.0000 4.7703
Pr Sn Pb
3 5 2
Direct
0.0000 0.0000 0.0000
0.1871 0.8129 0.0000
0.8129 0.1871 0.0000
0.2897 0.7103 0.5000
0.4050 0.5950 0.0000
0.5000 0.5000 0.5000
0.5950 0.4050 0.0000
0.7103 0.2897 0.5000
0.0967 0.9033 0.5000
0.9033 0.0967 0.5000
```

Diffraction record for Pr3Sn4Pb3. The XRD peak list is simulated, not measured: it uses a structure optimized by DFT (PBE) and Cu Ka.
Intensities are scaled so that the largest is 1000.

Top 10 peaks for 2θ = 15–90°, in order of falling intensity:
- d 2.812, I = 1000
- d 2.622, I = 178
- d 2.397, I = 170
- d 2.316, I = 154
- d 1.452, I = 138
- d 1.415, I = 127
- d 1.548, I = 114
- d 1.666, I = 114
- d 1.769, I = 113
- d 1.406, I = 107

```
Pr3Sn4Pb3
1.0
2.3163 -13.1122 0.0000
2.3163 13.1122 0.0000
0.0000 0.0000 4.7943
Pr Sn Pb
3 4 3
Direct
0.0000 0.0000 0.0000
0.1876 0.8124 0.0000
0.8124 0.1876 0.0000
0.2894 0.7106 0.5000
0.4040 0.5960 0.0000
0.5960 0.4040 0.0000
0.7106 0.2894 0.5000
0.0977 0.9023 0.5000
0.5000 0.5000 0.5000
0.9023 0.0977 0.5000
```

Diffraction record for TbPrZn2Pb2. The XRD peak list is simulated, not measured: it uses a structure optimized by DFT (PBE) and Cu Ka.
Intensities are scaled so that the largest is 1000.

Top 10 peaks for 2θ = 15–90°, in order of falling intensity:
- d 2.875, I = 1000
- d 2.316, I = 703
- d 3.240, I = 406
- d 1.804, I = 259
- d 2.031, I = 255
- d 1.423, I = 238
- d 1.540, I = 193
- d 1.337, I = 123
- d 3.898, I = 117
- d 1.275, I = 117

```
TbPrZn2Pb2
1.0
4.6327 0.0000 0.0000
-2.3163 4.0120 0.0000
0.0000 0.0000 16.4865
Tb Pr Zn Pb
2 2 4 4
Direct
0.0000 0.0000 0.2500
0.0000 0.0000 0.7500
0.0000 0.0000 0.0000
0.0000 0.0000 0.5000
0.3333 0.6667 0.1668
0.3333 0.6667 0.3332
0.6667 0.3333 0.6668
0.6667 0.3333 0.8332
0.3333 0.6667 0.6153
0.3333 0.6667 0.8847
0.6667 0.3333 0.1153
0.6667 0.3333 0.3847
```

Diffraction record for Pr2Zn5Pb. The XRD peak list is simulated, not measured: it uses a structure optimized by DFT (PBE) and Cu Ka.
Intensities are scaled so that the largest is 1000.

Top 10 peaks for 2θ = 15–90°, in order of falling intensity:
- d 2.781, I = 1000
- d 3.149, I = 590
- d 2.686, I = 515
- d 2.243, I = 512
- d 2.061, I = 399
- d 2.386, I = 288
- d 2.497, I = 268
- d 2.674, I = 242
- d 1.720, I = 241
- d 2.291, I = 241

```
Pr2Zn5Pb
1.0
2.2432 -8.3858 0.0000
2.2432 8.3858 0.0000
0.0000 0.0000 9.1647
Pr Zn Pb
4 10 2
Direct
0.0000 0.0000 0.0000
0.0000 0.0000 0.5000
0.2051 0.7949 0.7500
0.7949 0.2051 0.2500
0.1854 0.8146 0.1092
0.1854 0.8146 0.3908
0.3415 0.6585 0.0145
0.3415 0.6585 0.4855
0.3914 0.6086 0.7500
0.6086 0.3914 0.2500
0.6585 0.3415 0.5145
0.6585 0.3415 0.9855
0.8146 0.1854 0.6092
0.8146 0.1854 0.8908
0.4464 0.5536 0.2500
0.5536 0.4464 0.7500
```